For PuCo4Cu3O12, a structure optimized by DFT (GGA+U) gives the simulated powder X-ray diffraction pattern in this record (copper Kα).

Peak list (10 most intense, 2θ = 5–70°, by angle)
- 17.43°, I = 37
- 24.75°, I = 8
- 30.43°, I = 14
- 35.28°, I = 100
- 39.61°, I = 15
- 43.57°, I = 7
- 47.26°, I = 18
- 50.75°, I = 24
- 63.32°, I = 45
- 66.22°, I = 7

Structural model:
```
PuCo4Cu3O12
1.0
-3.598 3.598 3.598
3.598 -3.598 3.598
3.598 3.598 -3.598
Pu Co Cu O
1 4 3 12
Direct
0.000 0.000 0.000
0.000 0.000 0.500
0.000 0.500 0.000
0.500 0.000 0.000
0.500 0.500 0.500
0.000 0.500 0.500
0.500 0.000 0.500
0.500 0.500 0.000
0.128 0.828 0.299
0.172 0.299 0.471
0.172 0.701 0.872
0.299 0.128 0.828
0.299 0.471 0.172
0.471 0.172 0.299
0.529 0.828 0.701
0.701 0.529 0.828
0.701 0.872 0.172
0.828 0.299 0.128
0.828 0.701 0.529
0.872 0.172 0.701
```